No. 1
# Ac6YMg
Calculated powder diffractogram, copper Kα. Input: a structure optimized by DFT (PBE).

The 10 most intense peaks (10° ≤ 2θ ≤ 90°), by angle:
- 24.08°, 3.695 Å, I = 14
- 28.33°, 3.151 Å, I = 100
- 32.04°, 2.794 Å, I = 38
- 34.35°, 2.611 Å, I = 14
- 45.94°, 1.975 Å, I = 14
- 47.68°, 1.907 Å, I = 22
- 54.85°, 1.674 Å, I = 33
- 57.89°, 1.593 Å, I = 10
- 58.60°, 1.575 Å, I = 12
- 76.88°, 1.240 Å, I = 9

Structure:
Cell: 11.1655 11.1655 11.1655 Å, 151.02 151.02 41.45°
Sites, in units of the cell vectors:
Ac  0.1154  0.6154  0.5000
Ac  0.2499  0.2499  0.0000
Ac  0.3846  0.8846  0.5000
Ac  0.6154  0.1154  0.5000
Ac  0.7501  0.7501  0.0000
Ac  0.8846  0.3846  0.5000
Y  0.0000  0.0000  0.0000
Mg  0.5000  0.5000  0.0000

=====

No. 2
# TbSmInAu
Calculated powder diffractogram, copper Kα. Input: a structure optimized by DFT (PBE).

The 10 most intense peaks (10° ≤ 2θ ≤ 90°), by angle:
- 20.56°, 4.319 Å, I = 4
- 33.89°, 2.645 Å, I = 100
- 39.97°, 2.256 Å, I = 2
- 48.69°, 1.870 Å, I = 18
- 53.38°, 1.716 Å, I = 1
- 60.64°, 1.527 Å, I = 37
- 64.75°, 1.440 Å, I = 1
- 71.32°, 1.322 Å, I = 12
- 75.13°, 1.265 Å, I = 1
- 81.35°, 1.183 Å, I = 16

Structure:
Cell: 5.2899 5.2899 5.2899 Å, 60.00 60.00 60.00°
Sites, in units of the cell vectors:
Tb  0.0000  0.0000  0.0000
Sm  0.5000  0.5000  0.5000
In  0.7500  0.7500  0.7500
Au  0.2500  0.2500  0.2500

=====

No. 3
# Ge3AuSe4
Calculated powder diffractogram, copper Kα. Input: a structure optimized by DFT (PBE).

The 10 most intense peaks (10° ≤ 2θ ≤ 90°), by angle:
- 17.17°, 5.163 Å, I = 67
- 21.04°, 4.222 Å, I = 73
- 21.69°, 4.097 Å, I = 79
- 30.45°, 2.936 Å, I = 32
- 31.97°, 2.799 Å, I = 31
- 33.05°, 2.710 Å, I = 100
- 33.29°, 2.691 Å, I = 37
- 40.78°, 2.213 Å, I = 52
- 47.64°, 1.909 Å, I = 34
- 53.46°, 1.714 Å, I = 47

Structure:
Cell: 10.8405 6.7340 5.8720 Å, 90.00 90.00 90.00°
Sites, in units of the cell vectors:
Ge  0.0000  0.1920  0.0000
Ge  0.2488  0.8327  0.9035
Ge  0.2512  0.1673  0.4035
Ge  0.5000  0.8080  0.5000
Ge  0.7488  0.1673  0.4035
Ge  0.7512  0.8327  0.9035
Au  0.0000  0.5569  0.2573
Au  0.5000  0.4431  0.7573
Se  0.0000  0.2348  0.4606
Se  0.0000  0.7917  0.9384
Se  0.2430  0.8017  0.4693
Se  0.2570  0.1983  0.9693
Se  0.5000  0.2083  0.4384
Se  0.5000  0.7652  0.9606
Se  0.7430  0.1983  0.9693
Se  0.7570  0.8017  0.4693

=====

No. 4
# Y6Co2Hg
Calculated powder diffractogram, copper Kα. Input: a structure optimized by DFT (PBE).

The 10 most intense peaks (10° ≤ 2θ ≤ 90°), by angle:
- 19.01°, 4.667 Å, I = 15
- 22.21°, 4.002 Å, I = 14
- 30.16°, 2.963 Å, I = 30
- 32.12°, 2.787 Å, I = 100
- 34.44°, 2.604 Å, I = 92
- 34.95°, 2.567 Å, I = 29
- 35.44°, 2.533 Å, I = 15
- 36.07°, 2.490 Å, I = 17
- 38.57°, 2.334 Å, I = 40
- 60.18°, 1.538 Å, I = 27

Structure:
Cell: 8.3722 8.3722 8.3722 Å, 112.24 109.22 107.00°
Sites, in units of the cell vectors:
Y  0.0344  0.2362  0.7982
Y  0.1826  0.2845  0.4671
Y  0.1826  0.7155  0.8980
Y  0.3255  0.0141  0.6886
Y  0.3255  0.6369  0.3114
Y  0.4379  0.2362  0.2018
Y  0.5621  0.7638  0.7982
Y  0.6745  0.3631  0.6886
Y  0.6745  0.9859  0.3114
Y  0.8174  0.2845  0.1020
Y  0.8174  0.7155  0.5329
Y  0.9656  0.7638  0.2018
Co  0.1128  0.6128  0.5000
Co  0.3464  0.0000  0.3464
Co  0.6536  0.0000  0.6536
Co  0.8872  0.3872  0.5000
Hg  0.0000  0.0000  0.0000
Hg  0.5000  0.5000  0.0000

=====

No. 5
# KURhS4
Calculated powder diffractogram, copper Kα. Input: a structure optimized by DFT (PBE).

The 10 most intense peaks (10° ≤ 2θ ≤ 90°), by angle:
- 10.51°, 8.420 Å, I = 100
- 18.37°, 4.830 Å, I = 15
- 20.65°, 4.301 Å, I = 11
- 26.01°, 3.426 Å, I = 13
- 30.31°, 2.948 Å, I = 16
- 32.17°, 2.783 Å, I = 11
- 32.43°, 2.761 Å, I = 18
- 34.13°, 2.627 Å, I = 15
- 41.33°, 2.184 Å, I = 12
- 42.01°, 2.151 Å, I = 13

Structure:
Cell: 6.5384 5.8968 8.7551 Å, 90.00 105.92 90.00°
Sites, in units of the cell vectors:
K  0.2483  0.2500  0.0455
K  0.7517  0.7500  0.9545
U  0.2509  0.2500  0.5483
U  0.7491  0.7500  0.4517
Rh  0.2332  0.7500  0.3616
Rh  0.7668  0.2500  0.6384
S  0.0306  0.5134  0.7031
S  0.0306  0.9866  0.7031
S  0.4528  0.7500  0.1896
S  0.4629  0.7500  0.6069
S  0.5371  0.2500  0.3931
S  0.5472  0.2500  0.8104
S  0.9694  0.0134  0.2969
S  0.9694  0.4866  0.2969

=====

No. 6
# NdCoRu
Calculated powder diffractogram, copper Kα. Input: a structure optimized by DFT (PBE).

The 10 most intense peaks (10° ≤ 2θ ≤ 90°), by angle:
- 33.69°, 2.660 Å, I = 100
- 39.46°, 2.284 Å, I = 48
- 39.58°, 2.277 Å, I = 28
- 39.83°, 2.263 Å, I = 59
- 40.18°, 2.244 Å, I = 87
- 41.47°, 2.178 Å, I = 25
- 41.93°, 2.155 Å, I = 26
- 60.26°, 1.536 Å, I = 24
- 64.67°, 1.441 Å, I = 21
- 70.85°, 1.330 Å, I = 45

Structure:
Cell: 5.3214 5.3214 5.3214 Å, 121.05 120.03 89.07°
Sites, in units of the cell vectors:
Nd  0.3729  0.1229  0.2500
Nd  0.6271  0.8771  0.7500
Co  0.0000  0.5000  0.5000
Co  0.5000  0.5000  0.0000
Ru  0.0000  0.0000  0.5000
Ru  0.0000  0.5000  0.0000